Calculated powder diffractogram
Compound: SrNbO3
Radiation: a wavelength of 1.5418 Å
Structure: DFT lattice parameters and positions (PBE)
Kinematic intensities with the Lorentz-polarization factor, no thermal factor.

Cell: 4.089 4.089 4.089 Å, 90.00 90.00 90.00°
Space group Pm-3m (No. 221)
Inequivalent atoms, fractional coordinates:
1 Sr 0.000 0.000 0.000 (multiplicity 1)
2 Nb 0.500 0.500 0.500 (multiplicity 1)
3 O 0.000 0.500 0.500 (multiplicity 3)

The 6 most intense peaks (2θ = 15–90°), sorted by position:
(1 1 0), 2θ = 30.93°, intensity 100; (2 0 0), 2θ = 44.30°, intensity 35; (2 1 1), 2θ = 55.01°, intensity 39; (2 2 0), 2θ = 64.45°, intensity 21; (3 1 0), 2θ = 73.19°, intensity 17; (3 2 1), 2θ = 89.73°, intensity 21

Calculated powder diffractogram
Compound: Sb2C3N6
Radiation: a wavelength of 1.5418 Å
Structure: DFT lattice parameters and positions (PBE)
Kinematic intensities with the Lorentz-polarization factor, no thermal factor.

Cell: 6.8802 6.8802 29.0515 Å, 90.00 90.00 120.00°
Space group R-3c (No. 167, hexagonal axes)
Inequivalent atoms, fractional coordinates:
1 Sb 0.0000 0.0000 0.1649 (multiplicity 12)
2 C 0.0000 0.2552 0.2500 (multiplicity 18)
3 N 0.0443 0.2810 0.2915 (multiplicity 36)

The 6 most intense peaks (2θ = 15–90°), sorted by position:
(0 1 2), 2θ = 16.08°, intensity 100; (0 0 6), 2θ = 18.32°, intensity 41; (1 0 4), 2θ = 19.27°, intensity 34; (1 1 0), 2θ = 25.90°, intensity 50; (1 1 6), 2θ = 31.91°, intensity 97; (1 1 12), 2θ = 45.83°, intensity 36

Calculated powder diffractogram
Compound: TaVN2
Radiation: a wavelength of 1.5418 Å
Structure: DFT lattice parameters and positions (PBE)
Kinematic intensities with the Lorentz-polarization factor, no thermal factor.

Cell: 3.050 3.050 4.296 Å, 90.00 90.00 90.00°
Space group P4/mmm (No. 123)
Inequivalent atoms, fractional coordinates:
1 Ta 0.000 0.000 0.000 (multiplicity 1)
2 V 0.500 0.500 0.500 (multiplicity 1)
3 N 0.000 0.000 0.500 (multiplicity 1)
4 N 0.500 0.500 0.000 (multiplicity 1)

The 6 most intense peaks (2θ = 15–90°), sorted by position:
(0 0 1), 2θ = 20.68°, intensity 39; (1 0 0), 2θ = 29.28°, intensity 34; (1 0 1), 2θ = 36.12°, intensity 100; (1 1 0), 2θ = 41.89°, intensity 52; (1 1 2), 2θ = 60.87°, intensity 33; (2 1 1), 2θ = 72.74°, intensity 27

Calculated powder diffractogram
Compound: La2Ti3Bi2O12
Radiation: a wavelength of 1.5418 Å
Structure: DFT lattice parameters and positions (PBE)
Kinematic intensities with the Lorentz-polarization factor, no thermal factor.

Cell: 5.451 33.359 5.443 Å, 90.00 90.00 90.00°
Space group Fmm2 (No. 42)
Inequivalent atoms, fractional coordinates:
1 La 0.000 0.066 0.000 (multiplicity 8)
2 Ti 0.000 0.000 0.491 (multiplicity 4)
3 Ti 0.000 0.129 0.497 (multiplicity 8)
4 Bi 0.000 0.212 0.996 (multiplicity 8)
5 O 0.000 0.059 0.494 (multiplicity 8)
6 O 0.000 0.183 0.496 (multiplicity 8)
7 O 0.236 0.000 0.216 (multiplicity 8)
8 O 0.250 0.116 0.246 (multiplicity 16)
9 O 0.250 0.250 0.246 (multiplicity 8)

The 6 most intense peaks (2θ = 15–90°), sorted by position:
(1 7 1), 2θ = 29.83°, intensity 100; (0 0 2), 2θ = 32.89°, intensity 38; (2 8 0), 2θ = 39.52°, intensity 17; (2 0 2), 2θ = 47.19°, intensity 29; (0 14 2), 2θ = 50.92°, intensity 22; (3 7 1), 2θ = 56.84°, intensity 33

Calculated powder diffractogram
Compound: Sr2CaAlO4F
Radiation: a wavelength of 1.5418 Å
Structure: DFT lattice parameters and positions (PBE)
Kinematic intensities with the Lorentz-polarization factor, no thermal factor.

Cell: 9.369 9.622 11.090 Å, 90.00 90.00 90.00°
Space group Fmmm (No. 69)
Inequivalent atoms, fractional coordinates:
1 Sr 0.000 0.168 0.000 (multiplicity 8)
2 Sr 0.250 0.250 0.250 (multiplicity 8)
3 Ca 0.170 0.000 0.500 (multiplicity 8)
4 Al 0.000 0.000 0.250 (multiplicity 8)
5 O 0.000 0.140 0.354 (multiplicity 16)
6 O 0.147 0.000 0.145 (multiplicity 16)
7 F 0.250 0.250 0.000 (multiplicity 8)

The 6 most intense peaks (2θ = 15–90°), sorted by position:
(2 0 2), 2θ = 24.88°, intensity 30; (2 2 2), 2θ = 31.15°, intensity 100; (0 0 4), 2θ = 32.29°, intensity 34; (4 0 0), 2θ = 38.40°, intensity 68; (3 1 3), 2θ = 38.89°, intensity 33; (2 4 0), 2θ = 42.25°, intensity 34

Calculated powder diffractogram
Compound: Nb2AsC
Radiation: a wavelength of 1.5418 Å
Structure: DFT lattice parameters and positions (PBE)
Kinematic intensities with the Lorentz-polarization factor, no thermal factor.

Cell: 3.3429 3.3429 12.0671 Å, 90.00 90.00 120.00°
Space group P6_3/mmc (No. 194)
Inequivalent atoms, fractional coordinates:
1 Nb 0.3333 0.6667 0.0943 (multiplicity 4)
2 As 0.3333 0.6667 0.7500 (multiplicity 2)
3 C 0.0000 0.0000 0.0000 (multiplicity 2)

The 6 most intense peaks (2θ = 15–90°), sorted by position:
(1 0 0), 2θ = 30.89°, intensity 26; (1 0 3), 2θ = 38.31°, intensity 100; (0 0 6), 2θ = 45.08°, intensity 12; (1 1 0), 2θ = 54.93°, intensity 25; (2 0 3), 2θ = 68.95°, intensity 17; (1 1 6), 2θ = 73.70°, intensity 16